Entry 1:
Structure and theoretical powder X-ray diffraction pattern of Pm2TmThSb5 (a crystal structure in Alexandria, relaxed with PBE; CuKα).
Peak positions follow from Bragg's law for the DFT cell and can differ from measured ones.

```
9
Lattice="5.2083 0.0000 0.0000 0.0000 5.2083 0.0000 0.0000 0.0000 11.8487" Properties=species:S:1:pos:R:3 pbc="T T T"
Pm 0.0000 0.0000 2.5491
Pm 0.0000 0.0000 9.2996
Tm 2.6042 2.6042 0.0000
Th 2.6042 2.6042 5.9244
Sb 0.0000 0.0000 5.9244
Sb 0.0000 2.6042 0.0000
Sb 2.6042 0.0000 0.0000
Sb 2.6042 2.6042 2.9615
Sb 2.6042 2.6042 8.8872
```

Most intense lines, 2θ from 5° to 70°, by angle:
2θ (°)  I/Imax  index
24.17  966  1 1 0
30.17  598  0 0 4
33.26  472  1 1 3
34.44  1000  2 0 0
39.02  419  1 1 4
46.43  729  2 0 4
49.50  358  2 2 0
59.07  354  2 2 4


Entry 2:
Structure and theoretical powder X-ray diffraction pattern of Pm4TlSb3 (a crystal structure in Alexandria, relaxed with PBE; CuKα).
Peak positions follow from Bragg's law for the DFT cell and can differ from measured ones.

```
8
Lattice="6.3594 0.0000 0.0000 0.0000 6.3594 0.0000 0.0000 0.0000 6.3594" Properties=species:S:1:pos:R:3 pbc="T T T"
Pm 0.0000 0.0000 0.0000
Pm 0.0000 3.1797 3.1797
Pm 3.1797 0.0000 3.1797
Pm 3.1797 3.1797 0.0000
Tl 3.1797 3.1797 3.1797
Sb 0.0000 0.0000 3.1797
Sb 0.0000 3.1797 0.0000
Sb 3.1797 0.0000 0.0000
```

Most intense lines, 2θ from 5° to 70°, by angle:
2θ (°)  I/Imax  index
13.93  22  1 0 0
19.74  20  1 1 0
28.06  1000  2 0 0
31.46  14  2 1 0
40.10  769  2 2 0
49.66  277  2 2 2
58.01  130  4 0 0
65.66  357  4 2 0